# 1
SrZn2Si: theoretical powder diffractogram (λ = 1.5418 Å (Cu Kα)), based on a cell relaxed with GGA-PBE.
Peak positions follow from Bragg's law for the DFT cell and can differ from measured ones.

Cell and atoms:
```
data_SrZn2Si
_chemical_formula_sum 'Sr2 Zn4 Si2'
_symmetry_space_group_name_H-M 'C 1 m 1'
_symmetry_Int_Tables_number 8
_symmetry_space_group_name_Hall 'C -2y'
_cell_length_a 7.3359
_cell_length_b 4.2336
_cell_length_c 6.2737
_cell_angle_alpha 90.00
_cell_angle_beta 112.85
_cell_angle_gamma 90.00
loop_
_atom_site_label
_atom_site_type_symbol
_atom_site_fract_x
_atom_site_fract_y
_atom_site_fract_z
Sr1 Sr 0.0000 0.0000 0.0000
Zn1 Zn 0.2112 0.0000 0.6333
Zn2 Zn 0.4859 0.0000 0.4580
Si1 Si 0.2904 0.5000 0.3716
```

Peak list (6 most intense, 2θ = 5–70°, sorted by position)
2θ = 26.4°, intensity 17, hkl 1 1 -1
2θ = 32.0°, intensity 100, hkl 1 1 1
2θ = 35.6°, intensity 25, hkl 2 0 1
2θ = 42.7°, intensity 62, hkl 0 2 0
2θ = 53.7°, intensity 19, hkl 3 1 -3
2θ = 54.3°, intensity 21, hkl 4 0 0

=====

# 2
LiCaTeSeF: theoretical powder diffractogram (λ = 1.5418 Å (Cu Kα)), based on a cell relaxed with GGA-PBE.
Peak positions follow from Bragg's law for the DFT cell and can differ from measured ones.

Cell and atoms:
```
data_LiCaTeSeF
_chemical_formula_sum 'Li1 Ca1 Te1 Se1 F1'
_symmetry_space_group_name_H-M 'P 1'
_symmetry_Int_Tables_number 1
_symmetry_space_group_name_Hall 'P 1'
_cell_length_a 4.7318
_cell_length_b 4.8044
_cell_length_c 5.5028
_cell_angle_alpha 89.17
_cell_angle_beta 72.79
_cell_angle_gamma 87.31
loop_
_atom_site_label
_atom_site_type_symbol
_atom_site_fract_x
_atom_site_fract_y
_atom_site_fract_z
Li1 Li 0.0000 0.0000 0.0000
Ca1 Ca 0.8808 0.6049 0.5905
Te1 Te 0.4068 0.0912 0.3560
Se1 Se 0.5429 0.1259 0.8187
F1 F 0.9992 0.6281 0.9362
```

Peak list (6 most intense, 2θ = 5–70°, sorted by position)
2θ = 18.5°, intensity 87, hkl 0 1 0
2θ = 19.7°, intensity 56, hkl 1 0 0
2θ = 26.5°, intensity 94, hkl 1 1 0
2θ = 27.7°, intensity 100, hkl 1 -1 0
2θ = 34.1°, intensity 79, hkl 1 0 2
2θ = 39.1°, intensity 67, hkl 0 1 2

=====

# 3
Rb10Te2O3: theoretical powder diffractogram (λ = 1.5418 Å (Cu Kα)), based on a cell relaxed with GGA-PBE.
Peak positions follow from Bragg's law for the DFT cell and can differ from measured ones.

Cell and atoms:
```
data_Rb10Te2O3
_chemical_formula_sum 'Rb40 Te8 O12'
_symmetry_space_group_name_H-M 'C 1 2/m 1'
_symmetry_Int_Tables_number 12
_symmetry_space_group_name_Hall '-C 2y'
_cell_length_a 25.6261
_cell_length_b 8.2526
_cell_length_c 11.1924
_cell_angle_alpha 90.00
_cell_angle_beta 111.66
_cell_angle_gamma 90.00
loop_
_atom_site_label
_atom_site_type_symbol
_atom_site_fract_x
_atom_site_fract_y
_atom_site_fract_z
Rb1 Rb 0.0000 0.2187 0.0000
Rb2 Rb 0.0197 0.5000 0.6771
Rb3 Rb 0.0214 0.0000 0.6752
Rb4 Rb 0.1115 0.2668 0.5198
Rb5 Rb 0.1379 0.0000 0.2488
Rb6 Rb 0.1506 0.2374 0.9841
Rb7 Rb 0.2318 0.0000 0.7645
Rb8 Rb 0.2500 0.2500 0.5000
Te1 Te 0.1187 0.5000 0.2285
Te2 Te 0.2194 0.5000 0.7998
O1 O 0.0000 0.2611 0.5000
O2 O 0.0741 0.0000 0.9493
O3 O 0.1730 0.0000 0.5137
```

Peak list (6 most intense, 2θ = 5–70°, sorted by position)
2θ = 26.8°, intensity 31, hkl 6 0 1
2θ = 27.2°, intensity 48, hkl 6 0 -3
2θ = 27.6°, intensity 100, hkl 0 2 2
2θ = 30.0°, intensity 19, hkl 8 0 0
2θ = 30.1°, intensity 80, hkl 6 2 -1
2θ = 45.9°, intensity 22, hkl 8 2 2